For LiVCO3F2, a crystal structure in Alexandria, relaxed with PBE+U gives the theoretical powder XRD pattern in this record (Cu Kα X-rays).

Top 10 peaks for 15° ≤ 2θ ≤ 90°, by angle:
| index | 2θ (°) | d_spacing | intensity |
| --- | --- | --- | --- |
| 0 1 1 | 16.4 | 5.421 | 1000 |
| 1 0 1 | 18.3 | 4.845 | 273 |
| 0 2 0 | 27.4 | 3.253 | 543 |
| 0 1 3 | 30.6 | 2.920 | 235 |
| 1 0 3 | 31.7 | 2.819 | 589 |
| 2 0 0 | 32.1 | 2.787 | 180 |
| 2 1 1 | 36.2 | 2.478 | 166 |
| 0 3 1 | 42.7 | 2.118 | 279 |
| 1 3 2 | 48.7 | 1.868 | 179 |
| 2 0 4 | 49.5 | 1.840 | 169 |

a b c (Å): 5.5730 6.5053 9.8047
angles (deg): 90.00 90.00 90.00
Element x y z (fractional)
Li 0.2206 0.2500 0.2310
Li 0.2794 0.7500 0.7310
Li 0.7206 0.2500 0.2690
Li 0.7794 0.7500 0.7690
V 0.0327 0.2500 0.8740
V 0.4673 0.7500 0.3740
V 0.5327 0.2500 0.6260
V 0.9673 0.7500 0.1260
C 0.0245 0.7500 0.4389
C 0.4755 0.2500 0.9389
C 0.5245 0.7500 0.0611
C 0.9755 0.2500 0.5611
O 0.1167 0.7500 0.3147
O 0.1913 0.7500 0.5308
O 0.1980 0.2500 0.5363
O 0.3020 0.7500 0.0363
O 0.3087 0.2500 0.0308
O 0.3833 0.2500 0.8147
O 0.6167 0.7500 0.1853
O 0.6913 0.7500 0.9692
O 0.6980 0.2500 0.9637
O 0.8020 0.7500 0.4637
O 0.8087 0.2500 0.4692
O 0.8833 0.2500 0.6853
F 0.0485 0.5439 0.8319
F 0.0485 0.9561 0.8319
F 0.4515 0.0439 0.3319
F 0.4515 0.4561 0.3319
F 0.5485 0.5439 0.6681
F 0.5485 0.9561 0.6681
F 0.9515 0.0439 0.1681
F 0.9515 0.4561 0.1681